Record 1
Computed PXRD pattern of Mg2H2Ir5 for copper Kα, from a crystal structure in Alexandria, relaxed with GGA-PBE.

Cell and atoms:
Cell lengths 4.6945, 4.8694, 5.6676 Å; angles 71.62, 87.54, 76.25 degrees
Space group P-1 (No. 2)
One atom of each set of equivalent atoms:
Mg 0.0313 0.4678 0.2572 (multiplicity 2)
H 0.4084 0.5873 0.7776 (multiplicity 2)
Ir 0.2452 0.9709 0.1191 (multiplicity 2)
Ir 0.2856 0.9808 0.6561 (multiplicity 2)
Ir 0.5000 0.5000 0.5000 (multiplicity 1)

Peak list (10 most intense, 2θ = 15–90°, by intensity)
| 2θ/deg | Rel. int. | h k l |
| --- | --- | --- |
| 19.77 | 1000 | 0 1 0 |
| 39.52 | 748 | 1 0 2 |
| 39.91 | 630 | 2 1 0 |
| 40.50 | 627 | -1 1 2 |
| 40.17 | 607 | 0 2 0 |
| 44.40 | 497 | 1 2 2 |
| 46.25 | 423 | 1 1 -2 |
| 48.91 | 324 | 2 -1 0 |
| 66.05 | 258 | 2 3 0 |
| 69.06 | 210 | -1 3 2 |

=====

Record 2
Computed PXRD pattern of HgTeH4 for copper Kα, from a crystal structure in Alexandria, relaxed with GGA-PBE.

Cell and atoms:
Cell lengths 7.3333, 13.9193, 5.1464 Å; angles 90.00, 120.36, 90.00 degrees
Space group C2/c (No. 15)
One atom of each set of equivalent atoms:
Hg 0.0000 0.0909 0.2500 (multiplicity 4)
Te 0.0000 0.3652 0.7500 (multiplicity 4)
H 0.1012 0.2791 0.0152 (multiplicity 8)
H 0.1509 0.0913 0.6254 (multiplicity 8)

Peak list (10 most intense, 2θ = 15–90°, by intensity)
| 2θ/deg | Rel. int. | h k l |
| --- | --- | --- |
| 28.15 | 1000 | 2 0 0 |
| 23.77 | 998 | 0 2 1 |
| 25.60 | 270 | 0 4 0 |
| 35.77 | 241 | 2 0 -2 |
| 15.38 | 197 | 1 1 0 |
| 38.46 | 186 | 2 4 0 |
| 44.69 | 179 | 2 2 1 |
| 44.50 | 178 | 2 4 -2 |
| 48.64 | 158 | 0 4 2 |
| 40.63 | 145 | 0 0 2 |

=====

Record 3
Computed PXRD pattern of LiAlBr2 for copper Kα, from a crystal structure in Alexandria, relaxed with GGA-PBE.

Cell and atoms:
Cell lengths 3.9996, 3.6730, 7.4428 Å; angles 90.00, 100.88, 90.00 degrees
Space group P2/m (No. 10)
One atom of each set of equivalent atoms:
Li 0.0000 0.0000 0.0000 (multiplicity 1)
Al 0.5000 0.0000 0.5000 (multiplicity 1)
Br 0.0946 0.5000 0.7635 (multiplicity 2)

Peak list (10 most intense, 2θ = 15–90°, by intensity)
| 2θ/deg | Rel. int. | h k l |
| --- | --- | --- |
| 34.62 | 1000 | 0 1 2 |
| 33.40 | 733 | 1 1 0 |
| 24.23 | 589 | 0 1 0 |
| 30.09 | 574 | 1 0 -2 |
| 24.36 | 561 | 0 0 2 |
| 22.64 | 522 | 1 0 0 |
| 27.74 | 445 | 1 0 1 |
| 34.08 | 350 | 1 1 -1 |
| 39.00 | 309 | 1 1 -2 |
| 36.61 | 224 | 1 0 2 |

=====

Record 4
Computed PXRD pattern of Nd2PuMnN4 for copper Kα, from a crystal structure in Alexandria, relaxed with GGA-PBE.

Cell and atoms:
Cell lengths 3.4418, 11.6605, 12.2099 Å; angles 90.00, 90.00, 90.00 degrees
Space group Cmcm (No. 63)
One atom of each set of equivalent atoms:
Nd 0.0000 0.1320 0.0461 (multiplicity 8)
Pu 0.0000 0.3915 0.2500 (multiplicity 4)
Mn 0.0000 0.3325 0.7500 (multiplicity 4)
N 0.0000 0.0760 0.2500 (multiplicity 4)
N 0.0000 0.2233 0.6390 (multiplicity 8)
N 0.0000 0.5000 0.0000 (multiplicity 4)

Peak list (10 most intense, 2θ = 15–90°, by intensity)
| 2θ/deg | Rel. int. | h k l |
| --- | --- | --- |
| 30.79 | 1000 | 1 1 2 |
| 26.71 | 877 | 0 2 3 |
| 37.90 | 677 | 1 3 2 |
| 30.67 | 517 | 0 4 0 |
| 35.61 | 483 | 1 3 1 |
| 29.26 | 399 | 0 0 4 |
| 46.24 | 318 | 1 1 5 |
| 51.56 | 286 | 1 3 5 |
| 49.52 | 254 | 1 5 2 |
| 54.98 | 238 | 0 2 7 |

=====

Record 5
Computed PXRD pattern of Tb6YZr for copper Kα, from a crystal structure in Alexandria, relaxed with GGA-PBE.

Cell and atoms:
Cell lengths 7.1256, 11.0461, 6.4349 Å; angles 90.00, 99.46, 90.00 degrees
Space group C2/m (No. 12)
One atom of each set of equivalent atoms:
Tb 0.0950 0.0000 0.2572 (multiplicity 4)
Tb 0.1951 0.2254 0.7278 (multiplicity 8)
Y 0.0000 0.5000 0.0000 (multiplicity 2)
Zr 0.0000 0.5000 0.5000 (multiplicity 2)

Peak list (10 most intense, 2θ = 15–90°, by intensity)
| 2θ/deg | Rel. int. | h k l |
| --- | --- | --- |
| 30.14 | 1000 | 2 2 0 |
| 32.42 | 726 | 0 4 0 |
| 35.14 | 630 | 2 2 1 |
| 28.12 | 551 | 0 0 2 |
| 31.48 | 548 | 2 2 -1 |
| 30.04 | 377 | 1 1 -2 |
| 29.83 | 345 | 1 3 -1 |
| 33.83 | 297 | 1 1 2 |
| 31.79 | 282 | 1 3 1 |
| 32.54 | 281 | 0 2 2 |

=====

Record 6
Computed PXRD pattern of PrMg4 for copper Kα, from a crystal structure in Alexandria, relaxed with GGA-PBE.

Cell and atoms:
Cell lengths 3.4627, 5.1947, 7.8995 Å; angles 70.85, 77.35, 89.91 degrees
Space group P-1 (No. 2)
One atom of each set of equivalent atoms:
Pr 0.0000 0.0000 0.0000 (multiplicity 1)
Mg 0.2831 0.7836 0.4323 (multiplicity 2)
Mg 0.3983 0.3968 0.2066 (multiplicity 2)

Peak list (10 most intense, 2θ = 15–90°, by intensity)
| 2θ/deg | Rel. int. | h k l |
| --- | --- | --- |
| 33.46 | 1000 | 1 1 0 |
| 18.14 | 676 | 0 1 1 |
| 35.41 | 592 | 0 1 3 |
| 31.77 | 513 | 1 0 2 |
| 25.15 | 428 | 0 1 2 |
| 34.53 | 335 | 0 2 1 |
| 47.63 | 328 | 1 2 3 |
| 31.04 | 298 | 1 1 1 |
| 24.52 | 234 | 0 0 2 |
| 65.26 | 192 | 2 1 4 |

=====

Record 7
Computed PXRD pattern of CaNpTlO6 for copper Kα, from a crystal structure in Alexandria, relaxed with GGA-PBE.

Cell and atoms:
Cell lengths 5.6440, 5.6440, 10.0596 Å; angles 90.00, 90.00, 120.00 degrees
Space group P-31c (No. 163)
One atom of each set of equivalent atoms:
Ca 0.0000 0.0000 0.0000 (multiplicity 2)
Np 0.3333 0.6667 0.2500 (multiplicity 2)
Tl 0.3333 0.6667 0.7500 (multiplicity 2)
O 0.0353 0.3680 0.1356 (multiplicity 12)

Peak list (10 most intense, 2θ = 15–90°, by intensity)
| 2θ/deg | Rel. int. | h k l |
| --- | --- | --- |
| 25.41 | 1000 | 1 0 2 |
| 17.63 | 929 | 0 0 2 |
| 36.51 | 894 | 1 1 2 |
| 31.71 | 764 | 1 1 0 |
| 48.49 | 696 | 1 1 4 |
| 18.15 | 513 | 1 0 0 |
| 41.06 | 277 | 2 0 2 |
| 52.79 | 270 | 2 1 2 |
| 56.48 | 248 | 3 0 0 |
| 59.65 | 234 | 3 0 2 |

=====

Record 8
Computed PXRD pattern of Nd4Dy2TmMg for copper Kα, from a crystal structure in Alexandria, relaxed with GGA-PBE.

Cell and atoms:
Cell lengths 5.0837, 5.0799, 9.9350 Å; angles 90.00, 90.04, 90.00 degrees
Space group P2/m (No. 10)
One atom of each set of equivalent atoms:
Nd 0.0001 0.0000 0.2469 (multiplicity 2)
Nd 0.4995 0.5000 0.7530 (multiplicity 2)
Dy 0.0000 0.5000 0.5000 (multiplicity 1)
Dy 0.5000 0.0000 0.0000 (multiplicity 1)
Tm 0.5000 0.0000 0.5000 (multiplicity 1)
Mg 0.0000 0.5000 0.0000 (multiplicity 1)

Peak list (10 most intense, 2θ = 15–90°, by intensity)
| 2θ/deg | Rel. int. | h k l |
| --- | --- | --- |
| 30.71 | 1000 | 1 1 2 |
| 35.32 | 345 | 2 0 0 |
| 60.56 | 290 | 3 1 2 |
| 51.45 | 236 | 2 0 4 |
| 36.16 | 161 | 0 0 4 |
| 61.68 | 136 | 1 1 6 |
| 50.82 | 123 | 2 2 0 |
| 63.95 | 123 | 2 2 4 |
| 83.90 | 116 | 3 1 6 |
| 82.91 | 60 | 3 3 2 |

=====

Record 9
Computed PXRD pattern of Li3Ho2Sn4 for copper Kα, from a crystal structure in Alexandria, relaxed with GGA-PBE.

Cell and atoms:
Cell lengths 6.2416, 15.9163, 8.0014 Å; angles 90.00, 90.00, 90.00 degrees
Space group Cmce (No. 64)
One atom of each set of equivalent atoms:
Li 0.0000 0.0000 0.0000 (multiplicity 4)
Li 0.2500 0.2280 0.2500 (multiplicity 8)
Ho 0.0000 0.1071 0.5975 (multiplicity 8)
Sn 0.0000 0.1780 0.9753 (multiplicity 8)
Sn 0.2500 0.0547 0.2500 (multiplicity 8)

Peak list (10 most intense, 2θ = 15–90°, by intensity)
| 2θ/deg | Rel. int. | h k l |
| --- | --- | --- |
| 36.54 | 1000 | 2 0 2 |
| 33.53 | 976 | 1 5 1 |
| 32.79 | 696 | 2 2 1 |
| 35.50 | 623 | 0 2 3 |
| 24.93 | 611 | 0 2 2 |
| 31.46 | 485 | 1 3 2 |
| 22.34 | 278 | 0 4 0 |
| 48.30 | 277 | 1 7 2 |
| 38.34 | 275 | 2 4 1 |
| 53.88 | 258 | 3 5 1 |

=====

Record 10
Computed PXRD pattern of Sc2Cd3Hg for copper Kα, from a crystal structure in Alexandria, relaxed with GGA-PBE.

Cell and atoms:
Cell lengths 3.2248, 4.8608, 8.4163 Å; angles 90.00, 90.00, 90.00 degrees
Space group Pmm2 (No. 25)
One atom of each set of equivalent atoms:
Sc 0.0000 0.0000 0.0000 (multiplicity 1)
Sc 0.0000 0.5000 0.4895 (multiplicity 1)
Cd 0.5000 0.0000 0.6653 (multiplicity 1)
Cd 0.5000 0.5000 0.1582 (multiplicity 1)
Cd 0.5000 0.5000 0.8260 (multiplicity 1)
Hg 0.5000 0.0000 0.3298 (multiplicity 1)

Peak list (10 most intense, 2θ = 15–90°, by intensity)
| 2θ/deg | Rel. int. | h k l |
| --- | --- | --- |
| 36.99 | 1000 | 0 2 0 |
| 35.05 | 788 | 1 1 1 |
| 46.81 | 533 | 1 2 0 |
| 21.11 | 384 | 0 0 2 |
| 27.66 | 368 | 1 0 0 |
| 70.03 | 291 | 2 2 0 |
| 51.88 | 248 | 1 2 2 |
| 65.42 | 241 | 1 3 1 |
| 66.66 | 168 | 0 3 3 |
| 73.63 | 138 | 1 3 3 |

=====

Record 11
Computed PXRD pattern of Sm4Cu3Os for copper Kα, from a crystal structure in Alexandria, relaxed with GGA-PBE.

Cell and atoms:
Cell lengths 4.9744, 4.9744, 7.1023 Å; angles 90.00, 90.00, 90.00 degrees
Space group P4/mmm (No. 123)
One atom of each set of equivalent atoms:
Sm 0.0000 0.5000 0.2419 (multiplicity 4)
Cu 0.0000 0.0000 0.0000 (multiplicity 1)
Cu 0.0000 0.0000 0.5000 (multiplicity 1)
Cu 0.5000 0.5000 0.5000 (multiplicity 1)
Os 0.5000 0.5000 0.0000 (multiplicity 1)

Peak list (10 most intense, 2θ = 15–90°, by intensity)
| 2θ/deg | Rel. int. | h k l |
| --- | --- | --- |
| 35.94 | 1000 | 1 1 2 |
| 36.11 | 496 | 2 0 0 |
| 64.82 | 351 | 3 1 2 |
| 64.48 | 175 | 2 0 4 |
| 52.00 | 174 | 2 2 0 |
| 76.19 | 107 | 2 2 4 |
| 51.47 | 87 | 0 0 4 |
| 87.75 | 78 | 4 2 0 |
| 87.64 | 78 | 3 3 2 |
| 86.81 | 76 | 1 1 6 |

=====

Record 12
Computed PXRD pattern of Pu5Sb2H4 for copper Kα, from a crystal structure in Alexandria, relaxed with GGA-PBE.

Cell and atoms:
Cell lengths 6.0686, 9.8936, 13.0697 Å; angles 90.00, 90.00, 90.00 degrees
Space group Fmmm (No. 69)
One atom of each set of equivalent atoms:
Pu 0.0000 0.0000 0.0000 (multiplicity 4)
Pu 0.2500 0.2500 0.0000 (multiplicity 8)
Pu 0.2500 0.2500 0.2500 (multiplicity 8)
Sb 0.0000 0.0000 0.3706 (multiplicity 8)
H 0.0000 0.1711 0.1239 (multiplicity 16)

Peak list (10 most intense, 2θ = 15–90°, by intensity)
| 2θ/deg | Rel. int. | h k l |
| --- | --- | --- |
| 34.68 | 1000 | 2 2 0 |
| 32.85 | 513 | 0 2 4 |
| 44.68 | 443 | 2 2 4 |
| 36.32 | 443 | 0 4 0 |
| 27.29 | 392 | 0 0 4 |
| 26.75 | 342 | 1 1 3 |
| 40.57 | 296 | 2 0 4 |
| 67.85 | 294 | 2 2 8 |
| 17.93 | 262 | 0 2 0 |
| 55.58 | 236 | 2 4 4 |

=====

Record 13
Computed PXRD pattern of Ag4Pt5 for copper Kα, from a crystal structure in Alexandria, relaxed with GGA-PBE.

Cell and atoms:
Cell lengths 4.9577, 4.9643, 7.4751 Å; angles 71.24, 89.87, 60.18 degrees
Space group P1 (No. 1)
One atom of each set of equivalent atoms:
Ag 0.0000 0.0000 0.0000 (multiplicity 1)
Ag 0.1247 0.4468 0.3348 (multiplicity 1)
Ag 0.5673 0.2168 0.6652 (multiplicity 1)
Ag 0.7949 0.1157 0.3334 (multiplicity 1)
Pt 0.2476 0.8642 0.6696 (multiplicity 1)
Pt 0.3245 0.3349 0.9972 (multiplicity 1)
Pt 0.4665 0.7882 0.3320 (multiplicity 1)
Pt 0.6573 0.6729 0.0007 (multiplicity 1)
Pt 0.8931 0.5547 0.6682 (multiplicity 1)

Peak list (10 most intense, 2θ = 15–90°, by intensity)
| 2θ/deg | Rel. int. | h k l |
| --- | --- | --- |
| 38.52 | 1000 | 2 1 1 |
| 38.36 | 1000 | 1 2 0 |
| 38.64 | 992 | -1 1 2 |
| 38.89 | 976 | 0 0 3 |
| 44.48 | 657 | 1 -1 1 |
| 45.00 | 632 | 2 1 -2 |
| 45.16 | 631 | 1 2 3 |
| 65.20 | 408 | 1 2 -3 |
| 78.35 | 248 | 1 -1 4 |
| 79.09 | 240 | 2 1 -5 |